(1)
Starting from DFT lattice parameters and positions (GGA-PBE), the powder diffractogram of CdHg2BO4 was computed for λ = 1.5418 Å (Cu Kα).
No peak broadening, texture or thermal motion is included.

Structural model:
Cell: 5.1730 5.1730 8.3332 Å, 90.00 90.00 90.00°
Atoms (fractional coordinates):
Cd1 0.0000 0.0000 0.0000
Cd2 0.5000 0.5000 0.5000
Hg1 0.0000 0.0000 0.5000
Hg2 0.0000 0.5000 0.7500
Hg3 0.5000 0.0000 0.2500
Hg4 0.5000 0.5000 0.0000
B1 0.0000 0.5000 0.2500
B2 0.5000 0.0000 0.7500
O1 0.1596 0.6743 0.1456
O2 0.1743 0.3404 0.3544
O3 0.3257 0.1596 0.8544
O4 0.3404 0.8257 0.6456
O5 0.6596 0.1743 0.6456
O6 0.6743 0.8404 0.8544
O7 0.8257 0.6596 0.3544
O8 0.8404 0.3257 0.1456

Main lines, most intense first (2θ = 10–80°):
| 2θ (°) | intensity | hkl |
| --- | --- | --- |
| 32.57 | 100.0 | 1 1 2 |
| 20.20 | 36.5 | 1 0 1 |
| 34.68 | 36.2 | 2 0 0 |
| 60.83 | 31.7 | 1 3 2 |
| 56.74 | 21.9 | 2 0 4 |
| 40.47 | 20.3 | 1 2 1 |

---

(2)
Starting from DFT lattice parameters and positions (GGA-PBE), the powder diffractogram of Cd2HgB2Rh5 was computed for λ = 1.5418 Å (Cu Kα).
No peak broadening, texture or thermal motion is included.

Structural model:
Cell: 9.9267 9.9267 2.9379 Å, 90.00 90.00 90.00°
Atoms (fractional coordinates):
Cd1 0.1794 0.3206 0.0000
Cd2 0.3206 0.8206 0.0000
Cd3 0.6794 0.1794 0.0000
Cd4 0.8206 0.6794 0.0000
Hg1 0.0000 0.0000 0.0000
Hg2 0.5000 0.5000 0.0000
B1 0.1219 0.6219 0.0000
B2 0.3781 0.1219 0.0000
B3 0.6219 0.8781 0.0000
B4 0.8781 0.3781 0.0000
Rh1 0.0000 0.5000 0.5000
Rh2 0.0691 0.7691 0.5000
Rh3 0.2309 0.0691 0.5000
Rh4 0.2691 0.5691 0.5000
Rh5 0.4309 0.2691 0.5000
Rh6 0.5000 0.0000 0.5000
Rh7 0.5691 0.7309 0.5000
Rh8 0.7309 0.4309 0.5000
Rh9 0.7691 0.9309 0.5000
Rh10 0.9309 0.2309 0.5000

Main lines, most intense first (2θ = 10–80°):
| 2θ (°) | intensity | hkl |
| --- | --- | --- |
| 42.13 | 100.0 | 3 1 1 |
| 37.35 | 64.6 | 4 1 0 |
| 40.65 | 60.2 | 4 2 0 |
| 36.68 | 55.6 | 2 1 1 |
| 40.02 | 53.4 | 2 2 1 |
| 36.20 | 27.1 | 4 0 0 |

---

(3)
Starting from DFT lattice parameters and positions (GGA-PBE), the powder diffractogram of CdInB was computed for λ = 1.5418 Å (Cu Kα).
No peak broadening, texture or thermal motion is included.

Structural model:
Cell: 3.1586 6.1255 6.2101 Å, 88.81 89.89 89.78°
Atoms (fractional coordinates):
Cd1 0.0000 0.0000 0.0000
Cd2 0.5003 0.1431 0.6055
In1 0.5018 0.5606 0.8941
In2 0.9986 0.7026 0.4093
B1 0.2367 0.3184 0.2478
B2 0.7366 0.3189 0.2460

Main lines, most intense first (2θ = 10–80°):
| 2θ (°) | intensity | hkl |
| --- | --- | --- |
| 35.21 | 100.0 | 1 1 -1 |
| 32.33 | 90.8 | 0 2 1 |
| 32.61 | 88.1 | 0 1 -2 |
| 31.80 | 66.5 | 1 0 -1 |
| 34.88 | 52.9 | 1 1 1 |
| 35.02 | 51.8 | -1 1 1 |

---

(4)
Starting from DFT lattice parameters and positions (GGA-PBE), the powder diffractogram of Y2CdBIr was computed for λ = 1.5418 Å (Cu Kα).
No peak broadening, texture or thermal motion is included.

Structural model:
Cell: 5.1173 5.1173 4.0118 Å, 90.00 90.00 90.00°
Atoms (fractional coordinates):
Y1 0.0000 0.5000 0.0000
Y2 0.5000 0.0000 0.0000
Cd1 0.0000 0.0000 0.5000
B1 0.5000 0.5000 0.0000
Ir1 0.5000 0.5000 0.5000

Main lines, most intense first (2θ = 10–80°):
| 2θ (°) | intensity | hkl |
| --- | --- | --- |
| 33.35 | 100.0 | 1 1 1 |
| 35.07 | 46.6 | 2 0 0 |
| 61.82 | 33.1 | 3 1 1 |
| 58.46 | 20.8 | 2 0 2 |
| 50.44 | 16.3 | 2 2 0 |
| 70.03 | 12.0 | 2 2 2 |